No. 1
For La2Si3Pd5, the PBE geometry in Alexandria gives the calculated powder diffraction line list in this record (Cu Kα X-rays).
No peak broadening, texture or thermal motion is included.

Crystal structure
```
data_La2Si3Pd5
_chemical_formula_sum 'La2 Si3 Pd5'
_cell_length_a 4.1622
_cell_length_b 4.1622
_cell_length_c 10.9459
_cell_angle_alpha 90.00
_cell_angle_beta 90.00
_cell_angle_gamma 90.00
_symmetry_space_group_name_H-M 'P -4 m 2'
_symmetry_Int_Tables_number 115
_symmetry_space_group_name_Hall 'P -4 -2'
loop_
_atom_site_label
_atom_site_type_symbol
_atom_site_fract_x
_atom_site_fract_y
_atom_site_fract_z
La1 La 0.0000 0.5000 0.2386
Si1 Si 0.0000 0.5000 0.6245
Si2 Si 0.5000 0.5000 0.5000
Pd1 Pd 0.0000 0.0000 0.0000
Pd2 Pd 0.0000 0.0000 0.5000
Pd3 Pd 0.0000 0.5000 0.8375
Pd4 Pd 0.5000 0.5000 0.0000
```

The 12 most intense peaks (2θ from 10° to 90°), in order of rising 2θ:
2θ (°)  I (rel.)
32.66  35
34.60  100
39.34  15
43.49  41
45.25  7
46.89  20
55.44  20
59.63  6
63.19  13
65.86  15
72.98  6
74.09  21

No. 2
For Tc2IrPb, the PBE geometry in Alexandria gives the calculated powder diffraction line list in this record (Cu Kα X-rays).
No peak broadening, texture or thermal motion is included.

Crystal structure
```
data_Tc2IrPb
_chemical_formula_sum 'Tc4 Ir2 Pb2'
_cell_length_a 9.1838
_cell_length_b 3.0310
_cell_length_c 5.0156
_cell_angle_alpha 90.00
_cell_angle_beta 101.89
_cell_angle_gamma 90.00
_symmetry_space_group_name_H-M 'C 1 m 1'
_symmetry_Int_Tables_number 8
_symmetry_space_group_name_Hall 'C -2y'
loop_
_atom_site_label
_atom_site_type_symbol
_atom_site_fract_x
_atom_site_fract_y
_atom_site_fract_z
Tc1 Tc 0.0000 0.0000 0.0000
Tc2 Tc 0.2292 0.5000 0.1501
Ir1 Ir 0.4731 0.0000 0.4166
Pb1 Pb 0.2353 0.0000 0.6704
```

The 12 most intense peaks (2θ from 10° to 90°), in order of rising 2θ:
2θ (°)  I (rel.)
29.59  16
31.14  12
37.30  100
37.99  46
40.14  41
43.77  67
45.63  24
61.15  13
63.57  17
66.57  17
74.30  13
75.70  13